For ScMoIrO6, DFT lattice parameters and positions (PBE+U) gives the calculated powder diffractogram in this record (Cu Kα X-rays).
No peak broadening, texture or thermal motion is included.

Atomic structure:
Cell: 5.078 5.078 9.063 Å, 90.00 90.00 120.00°
Fractional coordinates of all 18 atoms:
Sc: 0.333 0.667 0.250
Sc: 0.667 0.333 0.750
Mo: 0.000 0.000 0.000
Mo: 0.000 0.000 0.500
Ir: 0.333 0.667 0.750
Ir: 0.667 0.333 0.250
O: 0.011 0.326 0.622
O: 0.011 0.685 0.878
O: 0.315 0.326 0.878
O: 0.315 0.989 0.622
O: 0.326 0.011 0.122
O: 0.326 0.315 0.378
O: 0.674 0.685 0.622
O: 0.674 0.989 0.878
O: 0.685 0.011 0.378
O: 0.685 0.674 0.122
O: 0.989 0.315 0.122
O: 0.989 0.674 0.378

Principal peaks in the range 10° ≤ 2θ ≤ 90°, by intensity:
2θ/deg  d/Å  I/Imax
28.28  3.156  1000
22.47  3.956  588
54.26  1.690  477
35.35  2.539  474
45.87  1.978  260
59.21  1.560  241
40.74  2.215  207
63.46  1.466  176
36.07  2.490  169
19.59  4.531  149